Structure and calculated PXRD pattern of Ca2Cl (a structure optimized by DFT (GGA-PBE); Cu Kα X-rays).
No peak broadening, texture or thermal motion is included.

Principal peaks in the range 10° ≤ 2θ ≤ 80°, low angle first:
| h k l | 2θ (°) | I/Imax |
| --- | --- | --- |
| 1 0 1 | 29.3 | 100 |
| 0 1 2 | 36.7 | 47 |
| 1 1 0 | 46.7 | 34 |
| 0 2 1 | 56.1 | 13 |
| 1 1 3 | 61.6 | 12 |
| 1 0 5 | 71.8 | 10 |

Crystal structure
```
data_Ca2Cl
_space_group_name_H-M_alt 'P -3 m 1'
_space_group_IT_number 164
_space_group_name_Hall '-P 3 2"'
_cell_length_a 3.8931
_cell_length_b 3.8931
_cell_length_c 7.1341
_cell_angle_alpha 90.00
_cell_angle_beta 90.00
_cell_angle_gamma 120.00
loop_
_atom_site_label
_atom_site_fract_x
_atom_site_fract_y
_atom_site_fract_z
Ca1 0.3333 0.6667 0.2099
Cl1 0.0000 0.0000 0.5000
```


Structure and calculated PXRD pattern of CaCl5 (a structure optimized by DFT (GGA-PBE); Cu Kα X-rays).
No peak broadening, texture or thermal motion is included.

Principal peaks in the range 10° ≤ 2θ ≤ 80°, low angle first:
| h k l | 2θ (°) | I/Imax |
| --- | --- | --- |
| 0 0 1 | 10.4 | 31 |
| 0 1 1 | 19.0 | 43 |
| 1 0 1 | 22.1 | 29 |
| 1 0 -1 | 25.8 | 100 |
| 0 1 2 | 25.9 | 37 |
| 0 2 0 | 33.5 | 33 |

Crystal structure
```
data_CaCl5
_space_group_name_H-M_alt 'P 1'
_space_group_IT_number 1
_cell_length_a 4.239
_cell_length_b 5.401
_cell_length_c 8.670
_cell_angle_alpha 84.74
_cell_angle_beta 78.29
_cell_angle_gamma 82.68
loop_
_space_group_symop_operation_xyz
'x,y,z'
loop_
_atom_site_label
_atom_site_fract_x
_atom_site_fract_y
_atom_site_fract_z
Ca1 0.000 0.000 0.000
Cl1 0.407 0.015 0.215
Cl2 0.490 0.393 0.607
Cl3 0.506 0.608 0.395
Cl4 0.594 0.984 0.784
Cl5 0.999 0.500 0.999
```


Structure and calculated PXRD pattern of Ca2Cl3 (a structure optimized by DFT (GGA-PBE); Cu Kα X-rays).
No peak broadening, texture or thermal motion is included.

Principal peaks in the range 10° ≤ 2θ ≤ 80°, low angle first:
| h k l | 2θ (°) | I/Imax |
| --- | --- | --- |
| 0 1 2 | 17.2 | 47 |
| 1 0 4 | 22.8 | 22 |
| 1 1 3 | 29.1 | 95 |
| 1 1 6 | 37.0 | 100 |
| 3 0 0 | 46.0 | 49 |
| 1 1 9 | 47.6 | 20 |

Crystal structure
```
data_Ca2Cl3
_space_group_name_H-M_alt 'R -3 c'
_space_group_IT_number 167
_space_group_name_Hall '-R 3 2"c'
_cell_length_a 6.8383
_cell_length_b 6.8383
_cell_length_c 20.7514
_cell_angle_alpha 90.00
_cell_angle_beta 90.00
_cell_angle_gamma 120.00
loop_
_atom_site_label
_atom_site_fract_x
_atom_site_fract_y
_atom_site_fract_z
Ca1 0.0000 0.0000 0.1583
Cl1 0.0000 0.3055 0.2500
```


Structure and calculated PXRD pattern of Ca2Cl (a structure optimized by DFT (GGA-PBE); Cu Kα X-rays).
No peak broadening, texture or thermal motion is included.

Principal peaks in the range 10° ≤ 2θ ≤ 80°, low angle first:
| h k l | 2θ (°) | I/Imax |
| --- | --- | --- |
| 0 1 1 | 23.1 | 100 |
| 1 0 3 | 30.5 | 94 |
| 1 1 2 | 35.3 | 38 |
| 0 0 6 | 37.6 | 22 |
| 1 1 4 | 41.7 | 50 |
| 1 2 3 | 55.7 | 29 |

Crystal structure
```
data_Ca2Cl
_space_group_name_H-M_alt 'I m m m'
_space_group_IT_number 71
_space_group_name_Hall '-I 2 2'
_cell_length_a 3.713
_cell_length_b 3.994
_cell_length_c 14.338
_cell_angle_alpha 90.00
_cell_angle_beta 90.00
_cell_angle_gamma 90.00
loop_
_atom_site_label
_atom_site_fract_x
_atom_site_fract_y
_atom_site_fract_z
Ca1 0.000 0.000 0.155
Cl1 0.000 0.500 0.500
```


Structure and calculated PXRD pattern of CaCl5 (a structure optimized by DFT (GGA-PBE); Cu Kα X-rays).
No peak broadening, texture or thermal motion is included.

Principal peaks in the range 10° ≤ 2θ ≤ 80°, low angle first:
| h k l | 2θ (°) | I/Imax |
| --- | --- | --- |
| 1 -1 0 | 23.3 | 33 |
| -1 1 1 | 25.1 | 64 |
| 1 0 1 | 25.3 | 78 |
| 0 1 2 | 27.0 | 100 |
| 1 0 -3 | 36.1 | 27 |
| 2 -1 0 | 43.2 | 24 |

Crystal structure
```
data_CaCl5
_space_group_name_H-M_alt 'P 1'
_space_group_IT_number 1
_cell_length_a 4.185
_cell_length_b 5.094
_cell_length_c 9.617
_cell_angle_alpha 90.87
_cell_angle_beta 91.03
_cell_angle_gamma 114.25
loop_
_space_group_symop_operation_xyz
'x,y,z'
loop_
_atom_site_label
_atom_site_fract_x
_atom_site_fract_y
_atom_site_fract_z
Ca1 0.000 0.000 0.000
Cl1 0.122 0.172 0.277
Cl2 0.310 0.613 0.061
Cl3 0.562 0.138 0.834
Cl4 0.744 0.542 0.614
Cl5 0.808 0.855 0.470
```


Structure and calculated PXRD pattern of CaCoCl6 (a structure optimized by DFT (GGA-PBE); Cu Kα X-rays).
No peak broadening, texture or thermal motion is included.

Principal peaks in the range 10° ≤ 2θ ≤ 80°, low angle first:
| h k l | 2θ (°) | I/Imax |
| --- | --- | --- |
| 1 0 1 | 17.2 | 28 |
| 0 1 2 | 19.5 | 79 |
| 1 0 4 | 26.8 | 38 |
| 1 1 3 | 32.8 | 100 |
| 1 1 6 | 43.3 | 63 |
| 3 0 0 | 50.7 | 35 |

Crystal structure
```
data_CaCoCl6
_space_group_name_H-M_alt 'R -3'
_space_group_IT_number 148
_space_group_name_Hall '-R 3'
_cell_length_a 6.2358
_cell_length_b 6.2358
_cell_length_c 16.9150
_cell_angle_alpha 90.00
_cell_angle_beta 90.00
_cell_angle_gamma 120.00
loop_
_atom_site_label
_atom_site_fract_x
_atom_site_fract_y
_atom_site_fract_z
Ca1 0.0000 0.0000 0.0000
Co1 0.0000 0.0000 0.5000
Cl1 0.0230 0.3867 0.0910
```


Structure and calculated PXRD pattern of CaTl2CoCl6 (a structure optimized by DFT (GGA-PBE); Cu Kα X-rays).
No peak broadening, texture or thermal motion is included.

Principal peaks in the range 10° ≤ 2θ ≤ 80°, low angle first:
| h k l | 2θ (°) | I/Imax |
| --- | --- | --- |
| 2 0 0 | 17.3 | 26 |
| 2 2 0 | 24.5 | 100 |
| 2 2 2 | 30.2 | 56 |
| 4 0 0 | 35.0 | 55 |
| 4 2 2 | 43.2 | 46 |
| 4 4 0 | 50.3 | 37 |

Crystal structure
```
data_CaTl2CoCl6
_space_group_name_H-M_alt 'F m -3 m'
_space_group_IT_number 225
_space_group_name_Hall '-F 4 2 3'
_cell_length_a 10.260
_cell_length_b 10.260
_cell_length_c 10.260
_cell_angle_alpha 90.00
_cell_angle_beta 90.00
_cell_angle_gamma 90.00
loop_
_atom_site_label
_atom_site_fract_x
_atom_site_fract_y
_atom_site_fract_z
Ca1 0.000 0.000 0.000
Tl1 0.250 0.250 0.250
Co1 0.000 0.000 0.500
Cl1 0.000 0.000 0.263
```


Structure and calculated PXRD pattern of Na2CaCrCl6 (a structure optimized by DFT (GGA-PBE); Cu Kα X-rays).
No peak broadening, texture or thermal motion is included.

Principal peaks in the range 10° ≤ 2θ ≤ 80°, low angle first:
| h k l | 2θ (°) | I/Imax |
| --- | --- | --- |
| 0 0 1 | 16.9 | 81 |
| 1 1 0 | 17.1 | 76 |
| 2 2 0 | 34.5 | 100 |
| 1 1 2 | 38.4 | 52 |
| 2 2 1 | 38.7 | 48 |
| 3 1 2 | 52.6 | 37 |

Crystal structure
```
data_Na2CaCrCl6
_space_group_name_H-M_alt 'P 4 m m'
_space_group_IT_number 99
_cell_length_a 7.345
_cell_length_b 7.345
_cell_length_c 5.256
_cell_angle_alpha 90.00
_cell_angle_beta 90.00
_cell_angle_gamma 90.00
loop_
_space_group_symop_operation_xyz
'x,y,z'
'-y,x,z'
'-x,-y,z'
'y,-x,z'
'-x,y,z'
'y,x,z'
'x,-y,z'
'-y,-x,z'
loop_
_atom_site_label
_atom_site_fract_x
_atom_site_fract_y
_atom_site_fract_z
Na1 0.000 0.500 0.000
Ca1 0.000 0.000 0.714
Cr1 0.500 0.500 0.735
Cl1 0.000 0.000 0.220
Cl2 0.261 0.261 0.766
Cl3 0.500 0.500 0.255
```